Entry 1:
Diffraction record for Ca2Mg. The powder X-ray diffraction pattern is theoretical, not measured: it uses the GGA-PBE geometry in Alexandria and λ = 1.5418 Å (Cu Kα).
Lines closer than 0.1° are merged.

Largest 10 diffraction maxima, by intensity, 2θ from 15° to 90°:
| Position (°2θ) | d (Å) | I/Imax |
| --- | --- | --- |
| 30.12 | 2.967 | 100.0 |
| 33.48 | 2.676 | 82.5 |
| 29.70 | 3.008 | 56.1 |
| 29.50 | 3.028 | 40.2 |
| 27.63 | 3.228 | 23.7 |
| 36.80 | 2.442 | 20.1 |
| 25.82 | 3.450 | 17.9 |
| 28.58 | 3.124 | 17.3 |
| 46.02 | 1.972 | 17.0 |
| 58.15 | 1.586 | 15.0 |

Atomic structure:
Cell: 6.541 6.541 9.773 Å, 112.30 112.30 33.18°
Atoms (fractional coordinates):
Ca  0.011  0.011  0.203
Ca  0.338  0.338  0.404
Ca  0.662  0.662  0.596
Ca  0.989  0.989  0.797
Mg  0.305  0.305  0.916
Mg  0.695  0.695  0.084


Entry 2:
Diffraction record for Rb3Mn2TlBr9. The powder X-ray diffraction pattern is theoretical, not measured: it uses the GGA-PBE geometry in Alexandria and λ = 1.5418 Å (Cu Kα).
Lines closer than 0.1° are merged.

Largest 10 diffraction maxima, by intensity, 2θ from 15° to 90°:
| Position (°2θ) | d (Å) | I/Imax |
| --- | --- | --- |
| 31.96 | 2.800 | 100.0 |
| 28.30 | 3.154 | 43.3 |
| 15.82 | 5.600 | 38.9 |
| 47.66 | 1.908 | 32.5 |
| 21.56 | 4.121 | 21.4 |
| 37.35 | 2.408 | 18.5 |
| 43.94 | 2.061 | 17.1 |
| 58.54 | 1.577 | 17.0 |
| 59.84 | 1.546 | 15.8 |
| 78.72 | 1.216 | 14.4 |

Atomic structure:
Cell: 7.633 7.633 10.542 Å, 90.00 90.00 120.00°
Atoms (fractional coordinates):
Rb  0.000  0.000  0.000
Rb  0.333  0.667  0.728
Rb  0.667  0.333  0.272
Mn  0.333  0.667  0.156
Mn  0.667  0.333  0.844
Tl  0.000  0.000  0.500
Br  0.000  0.500  0.000
Br  0.172  0.344  0.286
Br  0.172  0.828  0.286
Br  0.344  0.172  0.714
Br  0.500  0.000  0.000
Br  0.500  0.500  0.000
Br  0.656  0.828  0.286
Br  0.828  0.172  0.714
Br  0.828  0.656  0.714


Entry 3:
Diffraction record for Th7Bi2Pb2. The powder X-ray diffraction pattern is theoretical, not measured: it uses the GGA-PBE geometry in Alexandria and λ = 1.5418 Å (Cu Kα).
Lines closer than 0.1° are merged.

Largest 10 diffraction maxima, by intensity, 2θ from 15° to 90°:
| Position (°2θ) | d (Å) | I/Imax |
| --- | --- | --- |
| 34.85 | 2.574 | 100.0 |
| 31.02 | 2.883 | 80.9 |
| 22.82 | 3.898 | 57.6 |
| 27.16 | 3.283 | 42.4 |
| 35.09 | 2.558 | 41.1 |
| 24.79 | 3.592 | 39.0 |
| 38.84 | 2.319 | 24.6 |
| 39.26 | 2.295 | 23.1 |
| 39.57 | 2.277 | 22.1 |
| 50.84 | 1.796 | 20.0 |

Atomic structure:
Cell: 7.372 7.372 7.382 Å, 90.00 90.00 103.00°
Atoms (fractional coordinates):
Th  0.000  0.000  0.000
Th  0.000  0.500  0.288
Th  0.000  0.500  0.712
Th  0.500  0.000  0.288
Th  0.500  0.000  0.712
Th  0.500  0.500  0.267
Th  0.500  0.500  0.733
Bi  0.278  0.722  0.000
Bi  0.722  0.278  0.000
Pb  0.174  0.174  0.500
Pb  0.826  0.826  0.500


Entry 4:
Diffraction record for AcEr2Tm2. The powder X-ray diffraction pattern is theoretical, not measured: it uses the GGA-PBE geometry in Alexandria and λ = 1.5418 Å (Cu Kα).
Lines closer than 0.1° are merged.

Largest 10 diffraction maxima, by intensity, 2θ from 15° to 90°:
| Position (°2θ) | d (Å) | I/Imax |
| --- | --- | --- |
| 30.54 | 2.927 | 100.0 |
| 33.20 | 2.699 | 44.8 |
| 31.86 | 2.809 | 42.3 |
| 29.75 | 3.003 | 35.6 |
| 25.74 | 3.461 | 34.8 |
| 34.66 | 2.588 | 30.2 |
| 32.24 | 2.776 | 26.4 |
| 26.48 | 3.366 | 25.5 |
| 61.78 | 1.502 | 24.8 |
| 40.65 | 2.219 | 24.4 |

Atomic structure:
Cell: 8.523 8.523 11.415 Å, 90.00 90.00 155.53°
Atoms (fractional coordinates):
Ac  0.099  0.901  0.500
Ac  0.901  0.099  0.000
Er  0.207  0.793  0.058
Er  0.413  0.587  0.382
Er  0.587  0.413  0.882
Er  0.793  0.207  0.558
Tm  0.254  0.746  0.791
Tm  0.441  0.559  0.685
Tm  0.559  0.441  0.185
Tm  0.746  0.254  0.291


Entry 5:
Diffraction record for AcNdTe2O. The powder X-ray diffraction pattern is theoretical, not measured: it uses the GGA-PBE geometry in Alexandria and λ = 1.5418 Å (Cu Kα).
Lines closer than 0.1° are merged.

Largest 10 diffraction maxima, by intensity, 2θ from 15° to 90°:
| Position (°2θ) | d (Å) | I/Imax |
| --- | --- | --- |
| 28.68 | 3.112 | 100.0 |
| 26.11 | 3.413 | 63.6 |
| 41.01 | 2.201 | 42.8 |
| 34.36 | 2.610 | 42.3 |
| 29.97 | 2.981 | 25.5 |
| 36.40 | 2.468 | 24.4 |
| 49.27 | 1.850 | 23.0 |
| 54.54 | 1.683 | 22.9 |
| 67.26 | 1.392 | 18.1 |
| 21.93 | 4.052 | 17.2 |

Atomic structure:
Cell: 4.402 4.402 16.209 Å, 90.00 90.00 90.00°
Atoms (fractional coordinates):
Ac  0.250  0.250  0.075
Ac  0.750  0.750  0.925
Nd  0.250  0.250  0.627
Nd  0.750  0.750  0.373
Te  0.250  0.250  0.413
Te  0.250  0.250  0.808
Te  0.750  0.750  0.192
Te  0.750  0.750  0.587
O  0.250  0.750  0.000
O  0.750  0.250  0.000


Entry 6:
Diffraction record for SrPuCuN3. The powder X-ray diffraction pattern is theoretical, not measured: it uses the GGA-PBE geometry in Alexandria and λ = 1.5418 Å (Cu Kα).
Lines closer than 0.1° are merged.

Largest 10 diffraction maxima, by intensity, 2θ from 15° to 90°:
| Position (°2θ) | d (Å) | I/Imax |
| --- | --- | --- |
| 31.73 | 2.820 | 100.0 |
| 32.67 | 2.741 | 66.0 |
| 28.67 | 3.114 | 52.8 |
| 33.06 | 2.710 | 49.1 |
| 28.40 | 3.143 | 38.1 |
| 30.33 | 2.947 | 32.5 |
| 38.33 | 2.348 | 31.6 |
| 48.43 | 1.880 | 26.6 |
| 36.67 | 2.451 | 22.4 |
| 49.73 | 1.834 | 22.4 |

Atomic structure:
Cell: 6.572 3.667 8.601 Å, 90.00 106.97 90.00°
Atoms (fractional coordinates):
Sr  0.020  0.250  0.295
Sr  0.980  0.750  0.705
Pu  0.484  0.250  0.667
Pu  0.516  0.750  0.333
Cu  0.342  0.250  0.994
Cu  0.658  0.750  0.006
N  0.252  0.250  0.768
N  0.318  0.750  0.479
N  0.355  0.250  0.209
N  0.645  0.750  0.791
N  0.682  0.250  0.521
N  0.748  0.750  0.232


Entry 7:
Diffraction record for CuTc2Mo. The powder X-ray diffraction pattern is theoretical, not measured: it uses the GGA-PBE geometry in Alexandria and λ = 1.5418 Å (Cu Kα).
Lines closer than 0.1° are merged.

Largest 10 diffraction maxima, by intensity, 2θ from 15° to 90°:
| Position (°2θ) | d (Å) | I/Imax |
| --- | --- | --- |
| 40.64 | 2.220 | 100.0 |
| 46.77 | 1.942 | 33.0 |
| 82.61 | 1.168 | 23.9 |
| 69.50 | 1.353 | 19.3 |
| 48.29 | 1.885 | 15.0 |
| 84.86 | 1.143 | 11.2 |
| 87.98 | 1.110 | 10.4 |
| 68.30 | 1.373 | 10.2 |
| 22.89 | 3.884 | 1.4 |
| 33.12 | 2.705 | 1.1 |

Atomic structure:
Cell: 3.884 3.884 3.769 Å, 90.00 90.00 90.00°
Atoms (fractional coordinates):
Cu  0.000  0.000  0.000
Tc  0.000  0.500  0.500
Tc  0.500  0.000  0.500
Mo  0.500  0.500  0.000


Entry 8:
Diffraction record for Tm3CuPd2. The powder X-ray diffraction pattern is theoretical, not measured: it uses the GGA-PBE geometry in Alexandria and λ = 1.5418 Å (Cu Kα).
Lines closer than 0.1° are merged.

Largest 10 diffraction maxima, by intensity, 2θ from 15° to 90°:
| Position (°2θ) | d (Å) | I/Imax |
| --- | --- | --- |
| 36.82 | 2.441 | 100.0 |
| 66.36 | 1.409 | 26.4 |
| 53.06 | 1.726 | 17.4 |
| 25.81 | 3.452 | 9.3 |
| 66.22 | 1.411 | 8.9 |
| 89.79 | 1.092 | 8.1 |
| 89.92 | 1.091 | 8.1 |
| 78.26 | 1.222 | 5.5 |
| 78.43 | 1.219 | 5.5 |
| 59.92 | 1.544 | 4.0 |

Atomic structure:
Cell: 4.878 4.878 11.980 Å, 90.00 90.00 120.00°
Atoms (fractional coordinates):
Tm  0.000  0.000  0.249
Tm  0.000  0.000  0.751
Tm  0.333  0.667  0.416
Tm  0.333  0.667  0.917
Tm  0.667  0.333  0.083
Tm  0.667  0.333  0.584
Cu  0.333  0.667  0.166
Cu  0.667  0.333  0.834
Pd  0.000  0.000  0.000
Pd  0.000  0.000  0.500
Pd  0.333  0.667  0.668
Pd  0.667  0.333  0.332


Entry 9:
Diffraction record for GdThGaHg. The powder X-ray diffraction pattern is theoretical, not measured: it uses the GGA-PBE geometry in Alexandria and λ = 1.5418 Å (Cu Kα).
Lines closer than 0.1° are merged.

Largest 10 diffraction maxima, by intensity, 2θ from 15° to 90°:
| Position (°2θ) | d (Å) | I/Imax |
| --- | --- | --- |
| 33.89 | 2.645 | 100.0 |
| 60.65 | 1.527 | 38.1 |
| 48.69 | 1.870 | 18.3 |
| 81.35 | 1.183 | 16.8 |
| 71.32 | 1.322 | 11.8 |
| 20.56 | 4.319 | 10.7 |
| 39.97 | 2.255 | 6.4 |
| 23.79 | 3.740 | 3.1 |
| 53.39 | 1.716 | 2.9 |
| 75.13 | 1.264 | 2.2 |

Atomic structure:
Cell: 5.290 5.290 5.290 Å, 60.00 60.00 60.00°
Atoms (fractional coordinates):
Gd  0.000  0.000  0.000
Th  0.500  0.500  0.500
Ga  0.250  0.250  0.250
Hg  0.750  0.750  0.750


Entry 10:
Diffraction record for Cr8CoCu3Se16. The powder X-ray diffraction pattern is theoretical, not measured: it uses the GGA-PBE geometry in Alexandria and λ = 1.5418 Å (Cu Kα).
Lines closer than 0.1° are merged.

Largest 10 diffraction maxima, by intensity, 2θ from 15° to 90°:
| Position (°2θ) | d (Å) | I/Imax |
| --- | --- | --- |
| 49.53 | 1.841 | 100.0 |
| 34.46 | 2.603 | 78.0 |
| 29.72 | 3.006 | 52.4 |
| 28.43 | 3.139 | 37.8 |
| 45.26 | 2.004 | 26.5 |
| 58.83 | 1.570 | 21.3 |
| 82.95 | 1.164 | 20.7 |
| 61.73 | 1.503 | 17.0 |
| 24.18 | 3.681 | 15.6 |
| 72.65 | 1.301 | 14.5 |

Atomic structure:
Cell: 7.365 7.365 10.404 Å, 90.00 90.00 90.00°
Atoms (fractional coordinates):
Cr  0.000  0.247  0.376
Cr  0.000  0.753  0.376
Cr  0.247  0.000  0.624
Cr  0.251  0.500  0.124
Cr  0.500  0.251  0.876
Cr  0.500  0.749  0.876
Cr  0.749  0.500  0.124
Cr  0.753  0.000  0.624
Co  0.500  0.500  0.500
Cu  0.000  0.000  0.000
Cu  0.000  0.500  0.751
Cu  0.500  0.000  0.249
Se  0.000  0.235  0.618
Se  0.000  0.266  0.134
Se  0.000  0.734  0.134
Se  0.000  0.765  0.618
Se  0.235  0.000  0.382
Se  0.238  0.500  0.370
Se  0.265  0.500  0.883
Se  0.266  0.000  0.866
Se  0.500  0.238  0.630
Se  0.500  0.265  0.117
Se  0.500  0.735  0.117
Se  0.500  0.762  0.630
Se  0.734  0.000  0.866
Se  0.735  0.500  0.883
Se  0.762  0.500  0.370
Se  0.765  0.000  0.382


Entry 11:
Diffraction record for Li4YSn. The powder X-ray diffraction pattern is theoretical, not measured: it uses the GGA-PBE geometry in Alexandria and λ = 1.5418 Å (Cu Kα).
Lines closer than 0.1° are merged.

Largest 10 diffraction maxima, by intensity, 2θ from 15° to 90°:
| Position (°2θ) | d (Å) | I/Imax |
| --- | --- | --- |
| 19.73 | 4.500 | 100.0 |
| 32.49 | 2.756 | 98.5 |
| 38.30 | 2.350 | 73.3 |
| 57.96 | 1.591 | 37.8 |
| 51.08 | 1.788 | 24.6 |
| 61.85 | 1.500 | 24.3 |
| 71.62 | 1.318 | 18.4 |
| 77.44 | 1.232 | 16.5 |
| 46.61 | 1.949 | 14.7 |
| 68.04 | 1.378 | 14.1 |

Atomic structure:
Cell: 5.512 5.512 5.512 Å, 60.00 60.00 60.00°
Atoms (fractional coordinates):
Li  0.124  0.124  0.124
Li  0.124  0.124  0.627
Li  0.124  0.627  0.124
Li  0.627  0.124  0.124
Y  0.500  0.500  0.500
Sn  0.750  0.750  0.750


Entry 12:
Diffraction record for TiHg2BiAu. The powder X-ray diffraction pattern is theoretical, not measured: it uses the GGA-PBE geometry in Alexandria and λ = 1.5418 Å (Cu Kα).
Lines closer than 0.1° are merged.

Largest 10 diffraction maxima, by intensity, 2θ from 15° to 90°:
| Position (°2θ) | d (Å) | I/Imax |
| --- | --- | --- |
| 34.54 | 2.597 | 100.0 |
| 49.65 | 1.836 | 72.7 |
| 24.25 | 3.671 | 56.6 |
| 29.80 | 2.998 | 56.1 |
| 17.10 | 5.186 | 29.7 |
| 42.63 | 2.121 | 27.0 |
| 61.89 | 1.499 | 25.2 |
| 83.14 | 1.162 | 22.8 |
| 58.95 | 1.567 | 16.6 |
| 38.76 | 2.323 | 16.5 |

Atomic structure:
Cell: 5.197 5.197 5.186 Å, 90.00 90.00 90.00°
Atoms (fractional coordinates):
Ti  0.000  0.000  0.000
Hg  0.000  0.500  0.500
Hg  0.500  0.000  0.500
Bi  0.500  0.500  0.000
Au  0.000  0.000  0.500


Entry 13:
Diffraction record for YEr15Tm4. The powder X-ray diffraction pattern is theoretical, not measured: it uses the GGA-PBE geometry in Alexandria and λ = 1.5418 Å (Cu Kα).
Lines closer than 0.1° are merged.

Largest 10 diffraction maxima, by intensity, 2θ from 15° to 90°:
| Position (°2θ) | d (Å) | I/Imax |
| --- | --- | --- |
| 31.26 | 2.862 | 100.0 |
| 36.25 | 2.478 | 50.6 |
| 62.11 | 1.495 | 42.5 |
| 52.20 | 1.752 | 35.9 |
| 65.20 | 1.431 | 12.2 |
| 85.36 | 1.137 | 11.9 |
| 88.15 | 1.108 | 11.2 |
| 85.37 | 1.137 | 6.0 |
| 76.94 | 1.239 | 5.7 |
| 88.13 | 1.109 | 5.6 |

Atomic structure:
Cell: 4.956 4.956 24.789 Å, 90.00 90.00 90.00°
Atoms (fractional coordinates):
Y  0.000  0.000  0.000
Er  0.000  0.500  0.101
Er  0.000  0.500  0.301
Er  0.000  0.500  0.500
Er  0.000  0.500  0.699
Er  0.000  0.500  0.899
Er  0.500  0.000  0.101
Er  0.500  0.000  0.301
Er  0.500  0.000  0.500
Er  0.500  0.000  0.699
Er  0.500  0.000  0.899
Er  0.500  0.500  0.000
Er  0.500  0.500  0.201
Er  0.500  0.500  0.400
Er  0.500  0.500  0.600
Er  0.500  0.500  0.799
Tm  0.000  0.000  0.201
Tm  0.000  0.000  0.400
Tm  0.000  0.000  0.600
Tm  0.000  0.000  0.799


Entry 14:
Diffraction record for LaNd2C. The powder X-ray diffraction pattern is theoretical, not measured: it uses the GGA-PBE geometry in Alexandria and λ = 1.5418 Å (Cu Kα).
Lines closer than 0.1° are merged.

Largest 10 diffraction maxima, by intensity, 2θ from 15° to 90°:
| Position (°2θ) | d (Å) | I/Imax |
| --- | --- | --- |
| 29.32 | 3.046 | 100.0 |
| 33.56 | 2.671 | 76.9 |
| 27.83 | 3.206 | 35.5 |
| 57.42 | 1.605 | 32.4 |
| 47.22 | 1.925 | 29.5 |
| 49.14 | 1.854 | 26.6 |
| 55.70 | 1.650 | 15.0 |
| 58.26 | 1.584 | 14.6 |
| 60.82 | 1.523 | 13.7 |
| 79.61 | 1.204 | 11.8 |

Atomic structure:
Cell: 3.708 3.708 9.618 Å, 90.00 90.00 120.00°
Atoms (fractional coordinates):
La  0.000  0.000  0.000
Nd  0.333  0.667  0.649
Nd  0.667  0.333  0.351
C  0.000  0.000  0.500